# 1
Starting from a cell relaxed with PBE, the powder diffraction line list of SrMg6Hg12 was simulated for a wavelength of 1.5418 Å.

Peak list (6 most intense, 15° ≤ 2θ ≤ 90°, in order of rising 2θ)
22.4°, d 3.977, rel. 35.4; 28.8°, d 3.098, rel. 18.5; 33.4°, d 2.682, rel. 36.2; 34.2°, d 2.625, rel. 100.0; 39.4°, d 2.285, rel. 68.4; 56.5°, d 1.629, rel. 18.2

Cell and atoms:
Unit cell a=8.504 b=8.504 c=8.504 alpha=110.53 beta=110.53 gamma=110.53
Atoms (fractional coordinates):
Sr 0.000 0.000 0.000
Mg 0.044 0.544 0.319
Mg 0.319 0.044 0.544
Mg 0.456 0.681 0.956
Mg 0.544 0.319 0.044
Mg 0.681 0.956 0.456
Mg 0.956 0.456 0.681
Hg 0.124 0.208 0.748
Hg 0.205 0.347 0.487
Hg 0.208 0.748 0.124
Hg 0.252 0.876 0.792
Hg 0.347 0.487 0.205
Hg 0.487 0.205 0.347
Hg 0.513 0.795 0.653
Hg 0.653 0.513 0.795
Hg 0.748 0.124 0.208
Hg 0.792 0.252 0.876
Hg 0.795 0.653 0.513
Hg 0.876 0.792 0.252

---

# 2
Starting from a cell relaxed with PBE, the powder diffraction line list of NaNdGeO4 was simulated for a wavelength of 1.5418 Å.

Peak list (6 most intense, 15° ≤ 2θ ≤ 90°, in order of rising 2θ)
17.6°, d 5.048, rel. 25.7; 29.9°, d 2.987, rel. 100.0; 32.2°, d 2.779, rel. 41.0; 43.4°, d 2.086, rel. 22.9; 53.1°, d 1.725, rel. 16.4; 55.5°, d 1.655, rel. 19.2

Cell and atoms:
Unit cell a=5.577 b=5.577 c=7.406 alpha=90.00 beta=90.00 gamma=115.17
Atoms (fractional coordinates):
Na 0.176 0.824 0.750
Na 0.824 0.176 0.250
Nd 0.500 0.500 0.000
Nd 0.500 0.500 0.500
Ge 0.152 0.848 0.250
Ge 0.848 0.152 0.750
O 0.206 0.276 0.750
O 0.256 0.744 0.054
O 0.256 0.744 0.446
O 0.276 0.206 0.250
O 0.724 0.794 0.750
O 0.744 0.256 0.554
O 0.744 0.256 0.946
O 0.794 0.724 0.250

---

# 3
Starting from a cell relaxed with PBE, the powder diffraction line list of NpP3Pd was simulated for a wavelength of 1.5418 Å.

Peak list (6 most intense, 15° ≤ 2θ ≤ 90°, in order of rising 2θ)
24.4°, d 3.647, rel. 100.0; 27.9°, d 3.199, rel. 43.8; 36.2°, d 2.484, rel. 34.6; 36.9°, d 2.434, rel. 36.7; 39.0°, d 2.308, rel. 78.2; 47.3°, d 1.922, rel. 37.7

Cell and atoms:
Unit cell a=11.544 b=5.369 c=5.504 alpha=90.00 beta=90.00 gamma=90.00
Atoms (fractional coordinates):
Np 0.186 0.007 0.250
Np 0.186 0.493 0.750
Np 0.814 0.507 0.250
Np 0.814 0.993 0.750
P 0.002 0.750 0.000
P 0.002 0.750 0.500
P 0.253 0.507 0.250
P 0.253 0.993 0.750
P 0.418 0.129 0.250
P 0.418 0.371 0.750
P 0.582 0.629 0.250
P 0.582 0.871 0.750
P 0.747 0.007 0.250
P 0.747 0.493 0.750
P 0.998 0.250 0.000
P 0.998 0.250 0.500
Pd 0.418 0.750 0.000
Pd 0.418 0.750 0.500
Pd 0.582 0.250 0.000
Pd 0.582 0.250 0.500

---

# 4
Starting from a cell relaxed with PBE, the powder diffraction line list of Ca2PmO3 was simulated for a wavelength of 1.5418 Å.

Peak list (6 most intense, 15° ≤ 2θ ≤ 90°, in order of rising 2θ)
17.0°, d 5.228, rel. 28.5; 20.0°, d 4.431, rel. 41.6; 31.5°, d 2.839, rel. 41.8; 31.8°, d 2.814, rel. 40.8; 36.7°, d 2.448, rel. 100.0; 52.9°, d 1.730, rel. 43.0

Cell and atoms:
Unit cell a=6.023 b=6.023 c=6.023 alpha=146.82 beta=132.07 gamma=59.54
Atoms (fractional coordinates):
Ca 0.168 0.168 0.000
Ca 0.832 0.832 0.000
Pm 0.500 0.500 0.000
O 0.000 0.500 0.500
O 0.330 0.830 0.500
O 0.670 0.170 0.500

---

Question: Number 4 is which compound?
Answer: Ca2PmO3

---

Question: What is the formula in the first record?
Answer: SrMg6Hg12